Computed X-ray powder pattern
Compound: FeHBr5
Radiation: a wavelength of 1.5418 Å
Structure: a GGA-PBE-relaxed structure
Lines closer than 0.1° are merged.

Main lines, sorted by position (2θ = 10–90°):
| index | 2θ/deg | d_spacing | I (rel.) |
| --- | --- | --- | --- |
| 2 0 1 | 16.99 | 5.218 | 61 |
| 2 1 0 | 17.66 | 5.021 | 33 |
| 1 1 2 | 21.89 | 4.061 | 100 |
| 3 1 1 | 25.67 | 3.471 | 75 |
| 2 2 1 | 26.64 | 3.346 | 64 |
| 0 2 2 | 27.26 | 3.271 | 97 |
| 2 0 3 | 30.77 | 2.906 | 36 |
| 0 4 0 | 41.42 | 2.180 | 33 |
| 4 2 3 | 45.40 | 1.998 | 27 |
| 4 2 4 | 51.89 | 1.762 | 28 |

Cell and atoms:
Unit cell a=12.283 b=8.720 c=9.894 alpha=90.00 beta=90.00 gamma=90.00
Space group Pnma (No. 62)
Asymmetric unit:
1 Fe 0.126 0.250 0.128
2 H 0.140 0.250 0.743
3 Br 0.050 0.750 0.942
4 Br 0.093 0.250 0.609
5 Br 0.150 0.027 0.244
6 Br 0.238 0.750 0.465